Diffraction record for PuSc2AgO8. The powder diffraction line list is theoretical, not measured: it uses DFT lattice parameters and positions (GGA-PBE) and Cu Kα.
Neutral-atom scattering factors, no anomalous dispersion.

Peak list (10 most intense, 10° ≤ 2θ ≤ 90°, low angle first)
6.651 Å, intensity 239, hkl 0 0 1; 4.861 Å, intensity 1000, hkl 1 0 0; 3.544 Å, intensity 757, hkl 1 1 0; 3.339 Å, intensity 663, hkl 1 -1 0; 2.841 Å, intensity 732, hkl 1 0 2; 2.658 Å, intensity 477, hkl 1 0 -2; 2.430 Å, intensity 297, hkl 0 2 0; 1.941 Å, intensity 269, hkl 2 1 2; 1.816 Å, intensity 267, hkl 2 -1 2; 1.772 Å, intensity 341, hkl 2 2 0

Crystal structure
```
data_PuSc2AgO8
_chemical_formula_sum 'Pu1 Sc2 Ag1 O8'
_cell_length_a 4.882
_cell_length_b 4.885
_cell_length_c 6.688
_cell_angle_alpha 85.66
_cell_angle_beta 85.62
_cell_angle_gamma 86.28
_symmetry_space_group_name_H-M 'P 1'
_symmetry_Int_Tables_number 1
_symmetry_space_group_name_Hall 'P 1'
loop_
_atom_site_label
_atom_site_type_symbol
_atom_site_fract_x
_atom_site_fract_y
_atom_site_fract_z
Pu1 Pu 0.000 0.000 0.000
Sc1 Sc 0.475 0.475 0.265
Sc2 Sc 0.525 0.525 0.735
Ag1 Ag 0.000 0.000 0.500
O1 O 0.183 0.182 0.247
O2 O 0.215 0.213 0.811
O3 O 0.299 0.700 0.000
O4 O 0.307 0.692 0.500
O5 O 0.693 0.308 0.500
O6 O 0.701 0.300 0.000
O7 O 0.785 0.787 0.189
O8 O 0.817 0.818 0.753
```

=====

Diffraction record for Zr2PaTiC4. The powder diffraction line list is theoretical, not measured: it uses DFT lattice parameters and positions (GGA-PBE) and Cu Kα.
Neutral-atom scattering factors, no anomalous dispersion.

Peak list (10 most intense, 10° ≤ 2θ ≤ 90°, low angle first)
5.496 Å, intensity 371, hkl 1 0 0; 4.740 Å, intensity 225, hkl 1 0 -1; 2.871 Å, intensity 238, hkl 0 1 1; 2.758 Å, intensity 338, hkl 0 0 2; 2.744 Å, intensity 1000, hkl 2 0 0; 2.384 Å, intensity 650, hkl 1 1 1; 2.370 Å, intensity 319, hkl 2 0 -2; 1.683 Å, intensity 324, hkl 0 2 0; 1.678 Å, intensity 213, hkl 3 1 -1; 1.437 Å, intensity 191, hkl 3 1 1

Crystal structure
```
data_Zr2PaTiC4
_chemical_formula_sum 'Zr2 Pa1 Ti1 C4'
_cell_length_a 5.809
_cell_length_b 3.365
_cell_length_c 5.835
_cell_angle_alpha 90.00
_cell_angle_beta 109.03
_cell_angle_gamma 90.00
_symmetry_space_group_name_H-M 'P 1'
_symmetry_Int_Tables_number 1
_symmetry_space_group_name_Hall 'P 1'
loop_
_atom_site_label
_atom_site_type_symbol
_atom_site_fract_x
_atom_site_fract_y
_atom_site_fract_z
Zr1 Zr 0.000 0.000 0.000
Zr2 Zr 0.500 0.500 0.000
Pa1 Pa 0.000 0.500 0.500
Ti1 Ti 0.500 0.000 0.500
C1 C 0.261 0.500 0.258
C2 C 0.262 0.000 0.751
C3 C 0.738 0.000 0.249
C4 C 0.739 0.500 0.742
```